No. 1
Diffraction record for Ca4CrN4. The powder diffraction line list is theoretical, not measured: it uses a cell relaxed with GGA-PBE and Cu Kα X-rays.
Intensities are scaled so that the largest is 100.

Most intense lines, 2θ = 10–90°, sorted by position:
(2 0 2), 22.70 deg, intensity 22; (3 1 1), 31.15 deg, intensity 61; (1 1 3), 31.49 deg, intensity 75; (4 0 1), 33.04 deg, intensity 25; (3 1 2), 34.29 deg, intensity 26; (4 0 2), 36.03 deg, intensity 27; (0 2 0), 36.45 deg, intensity 100; (3 1 3), 39.03 deg, intensity 22; (3 0 4), 40.84 deg, intensity 16; (1 0 5), 41.97 deg, intensity 16

Atomic structure:
```
Ca4CrN4
1.0
11.1928 0.0000 0.0000
0.0000 4.9310 0.0000
0.0000 0.0000 10.9691
Ca Cr N
16 4 16
direct
0.0574 0.2500 0.1118
0.0904 0.7500 0.3161
0.1292 0.7500 0.6600
0.2268 0.2500 0.4744
0.2732 0.7500 0.9744
0.3708 0.2500 0.1600
0.4096 0.2500 0.8161
0.4426 0.7500 0.6118
0.5574 0.2500 0.3882
0.5904 0.7500 0.1839
0.6292 0.7500 0.8400
0.7268 0.2500 0.0256
0.7732 0.7500 0.5256
0.8708 0.2500 0.3400
0.9096 0.2500 0.6839
0.9426 0.7500 0.8882
0.1331 0.2500 0.8509
0.3669 0.7500 0.3509
0.6331 0.2500 0.6491
0.8669 0.7500 0.1491
0.0133 0.7500 0.1065
0.0753 0.2500 0.3300
0.1666 0.2500 0.6972
0.2382 0.2500 0.9702
0.2618 0.7500 0.4702
0.3334 0.7500 0.1972
0.4247 0.7500 0.8300
0.4867 0.2500 0.6065
0.5133 0.7500 0.3935
0.5753 0.2500 0.1700
0.6666 0.2500 0.8028
0.7382 0.2500 0.5298
0.7618 0.7500 0.0298
0.8334 0.7500 0.3028
0.9247 0.7500 0.6700
0.9867 0.2500 0.8935
```

---

No. 2
Diffraction record for GdAlAu. The powder diffraction line list is theoretical, not measured: it uses a cell relaxed with GGA-PBE and Cu Kα X-rays.
Intensities are scaled so that the largest is 100.

Most intense lines, 2θ = 10–90°, sorted by position:
(1 0 0), 22.54 deg, intensity 33; (1 0 1), 33.30 deg, intensity 100; (1 1 0), 39.56 deg, intensity 49; (0 0 2), 49.57 deg, intensity 8; (2 0 1), 52.65 deg, intensity 28; (1 0 2), 55.10 deg, intensity 6; (1 1 2), 65.20 deg, intensity 22; (2 1 1), 67.81 deg, intensity 26; (3 0 0), 71.77 deg, intensity 9; (1 0 3), 82.37 deg, intensity 8

Atomic structure:
```
GdAlAu
1.0
4.5558 0.0000 0.0000
-2.2779 3.9454 0.0000
0.0000 0.0000 3.6780
Gd Al Au
1 1 1
direct
0.0000 0.0000 0.0000
0.3333 0.6667 0.5000
0.6667 0.3333 0.5000
```

---

Q: Number 1 is which compound?
A: Ca4CrN4